[1]
For KMgAl, the GGA-PBE geometry in Alexandria gives the theoretical powder XRD pattern in this record (a wavelength of 1.5418 Å).
Kinematic intensities with the Lorentz-polarization factor, no thermal factor.

Largest 12 diffraction maxima, in order of rising 2θ, 10 to 80 degrees two-theta:
d = 3.604 Å, I = 83
d = 3.290 Å, I = 88
d = 2.859 Å, I = 82
d = 2.840 Å, I = 100
d = 2.491 Å, I = 59
d = 2.469 Å, I = 53
d = 2.319 Å, I = 16
d = 2.305 Å, I = 14
d = 1.985 Å, I = 52
d = 1.966 Å, I = 15
d = 1.685 Å, I = 24
d = 1.676 Å, I = 22

Structure:
```
6
Lattice="5.6856 0.0000 0.0000 0.0000 4.9811 0.0000 -2.7735 0.0000 6.5801" Properties=species:S:1:pos:R:3 pbc="T T T"
K 0.0000 0.0000 0.0000
K 2.5941 2.4906 0.0429
Mg -0.7086 2.4906 2.9716
Mg 3.3581 0.0000 2.9550
Al 0.6059 0.0000 3.8288
Al 2.0473 2.4906 3.8249
```

[2]
For SmSb2P2Pd7, the GGA-PBE geometry in Alexandria gives the theoretical powder XRD pattern in this record (a wavelength of 1.5418 Å).
Kinematic intensities with the Lorentz-polarization factor, no thermal factor.

Largest 12 diffraction maxima, in order of rising 2θ, 10 to 80 degrees two-theta:
d = 3.442 Å, I = 33
d = 2.944 Å, I = 87
d = 2.808 Å, I = 18
d = 2.551 Å, I = 100
d = 2.385 Å, I = 55
d = 2.272 Å, I = 59
d = 2.210 Å, I = 95
d = 2.051 Å, I = 17
d = 1.723 Å, I = 41
d = 1.721 Å, I = 19
d = 1.475 Å, I = 24
d = 1.245 Å, I = 16

Structure:
```
12
Lattice="2.9427 -3.4419 0.0000 2.9427 3.4419 0.0000 -0.6189 0.0000 11.3622" Properties=species:S:1:pos:R:3 pbc="T T T"
Sm 0.0000 0.0000 0.0000
Sb 0.6354 0.0000 4.3776
Sb 4.6310 0.0000 6.9846
P 1.3558 0.0000 9.2434
P 3.9106 0.0000 2.1188
Pd 2.0194 1.4074 2.4980
Pd 1.6846 0.0000 6.8351
Pd 3.2470 1.4074 8.8641
Pd 2.9427 0.0000 0.0000
Pd 2.0194 -1.4074 2.4980
Pd 3.5819 0.0000 4.5271
Pd 3.2470 -1.4074 8.8641
```

[3]
For La2Ga4Ir, the GGA-PBE geometry in Alexandria gives the theoretical powder XRD pattern in this record (a wavelength of 1.5418 Å).
Kinematic intensities with the Lorentz-polarization factor, no thermal factor.

Largest 12 diffraction maxima, in order of rising 2θ, 10 to 80 degrees two-theta:
d = 7.857 Å, I = 62
d = 4.511 Å, I = 18
d = 3.502 Å, I = 88
d = 3.330 Å, I = 95
d = 2.617 Å, I = 90
d = 2.540 Å, I = 34
d = 2.355 Å, I = 100
d = 2.059 Å, I = 35
d = 1.954 Å, I = 36
d = 1.751 Å, I = 86
d = 1.665 Å, I = 34
d = 1.405 Å, I = 36

Structure:
```
7
Lattice="-2.3547 2.3547 7.8570 2.3547 -2.3547 7.8570 2.3547 2.3547 -7.8570" Properties=species:S:1:pos:R:3 pbc="T T T"
La 0.0000 0.0000 2.2994
La 0.0000 0.0000 13.4146
Ga 2.3547 0.0000 0.0000
Ga 0.0000 0.0000 5.3074
Ga 0.0000 2.3547 0.0000
Ga 0.0000 0.0000 10.4065
Ir 0.0000 0.0000 7.8570
```

[4]
For Li3B8C8, the GGA-PBE geometry in Alexandria gives the theoretical powder XRD pattern in this record (a wavelength of 1.5418 Å).
Kinematic intensities with the Lorentz-polarization factor, no thermal factor.

Largest 12 diffraction maxima, in order of rising 2θ, 10 to 80 degrees two-theta:
d = 3.711 Å, I = 100
d = 2.336 Å, I = 7
d = 2.281 Å, I = 5
d = 2.004 Å, I = 10
d = 1.996 Å, I = 5
d = 1.951 Å, I = 8
d = 1.895 Å, I = 4
d = 1.856 Å, I = 10
d = 1.360 Å, I = 4
d = 1.328 Å, I = 3
d = 1.326 Å, I = 3
d = 1.277 Å, I = 3

Structure:
```
19
Lattice="5.3135 0.0000 0.0000 2.5384 4.6779 0.0000 0.8961 2.1231 7.4227" Properties=species:S:1:pos:R:3 pbc="T T T"
Li 0.0000 0.0000 0.0000
Li 1.3477 2.3761 3.7333
Li 5.1419 4.6275 3.6796
B 1.4638 0.8510 1.7237
B 2.7330 3.1850 1.9845
B 3.7837 3.8331 5.5133
B 5.0661 6.1707 5.6949
B 5.3815 3.1821 1.7186
B 4.1197 0.8493 2.0546
B 7.6997 6.1651 5.3269
B 6.4467 3.8435 5.6805
C 3.7190 5.3804 5.4195
C 2.4461 3.0334 5.7615
C 4.0619 3.9823 1.6996
C 2.7934 1.6426 2.0341
C 5.1117 3.0328 5.4051
C 6.3803 5.3763 5.6011
C 5.4478 1.6430 1.7687
C 6.7158 3.9812 2.0254
```

Please write out number 3 again, unchanged.
For La2Ga4Ir, the GGA-PBE geometry in Alexandria gives the theoretical powder XRD pattern in this record (a wavelength of 1.5418 Å).
Kinematic intensities with the Lorentz-polarization factor, no thermal factor.

Largest 12 diffraction maxima, in order of rising 2θ, 10 to 80 degrees two-theta:
d = 7.857 Å, I = 62
d = 4.511 Å, I = 18
d = 3.502 Å, I = 88
d = 3.330 Å, I = 95
d = 2.617 Å, I = 90
d = 2.540 Å, I = 34
d = 2.355 Å, I = 100
d = 2.059 Å, I = 35
d = 1.954 Å, I = 36
d = 1.751 Å, I = 86
d = 1.665 Å, I = 34
d = 1.405 Å, I = 36

Structure:
```
7
Lattice="-2.3547 2.3547 7.8570 2.3547 -2.3547 7.8570 2.3547 2.3547 -7.8570" Properties=species:S:1:pos:R:3 pbc="T T T"
La 0.0000 0.0000 2.2994
La 0.0000 0.0000 13.4146
Ga 2.3547 0.0000 0.0000
Ga 0.0000 0.0000 5.3074
Ga 0.0000 2.3547 0.0000
Ga 0.0000 0.0000 10.4065
Ir 0.0000 0.0000 7.8570
```